Diffraction record for Rb2AcPu3O12. The PXRD pattern is theoretical, not measured: it uses the GGA-PBE geometry in Alexandria and Cu Kα (λ = 1.5418 Å).
Peak positions follow from Bragg's law for the DFT cell and can differ from measured ones.

Peak list (8 most intense, 2θ = 10–90°, low angle first)
2θ (°), I (rel.)
13.6, 79
15.9, 27
25.7, 61
27.1, 69
27.4, 100
29.6, 30
33.2, 33
44.3, 47

a = 7.2923 Å, b = 7.2923 Å, c = 7.2923 Å
α = 68.15°, β = 68.15°, γ = 68.15°
Fractional positions:
Rb: 0.1092 0.1092 0.1092
Rb: 0.8908 0.8908 0.8908
Ac: 0.5000 0.5000 0.5000
Pu: 0.0000 0.5000 0.5000
Pu: 0.5000 0.0000 0.5000
Pu: 0.5000 0.5000 0.0000
O: 0.0726 0.6305 0.6305
O: 0.2424 0.2424 0.5965
O: 0.2424 0.5965 0.2424
O: 0.3695 0.3695 0.9274
O: 0.3695 0.9274 0.3695
O: 0.4035 0.7576 0.7576
O: 0.5965 0.2424 0.2424
O: 0.6305 0.0726 0.6305
O: 0.6305 0.6305 0.0726
O: 0.7576 0.4035 0.7576
O: 0.7576 0.7576 0.4035
O: 0.9274 0.3695 0.3695